(1)
Li2TaIn2Os2W: computed XRD peak list (a wavelength of 1.5418 Å), based on a structure optimized by DFT (GGA-PBE).
Kinematic intensities with the Lorentz-polarization factor, no thermal factor.

The 8 most intense peaks (2θ = 5–70°), in order of falling intensity:
40.4°, I = 100, hkl 2 0 0
24.4°, I = 38, hkl 1 0 1
47.7°, I = 19, hkl 2 1 1
58.4°, I = 17, hkl 2 2 0
64.2°, I = 8, hkl 3 0 1
28.2°, I = 6, hkl 0 0 2
66.1°, I = 2, hkl 1 1 4
50.0°, I = 2, hkl 2 0 2

Structure:
```
data_Li2TaIn2Os2W
_chemical_formula_sum 'Li2 Ta1 In2 Os2 W1'
_cell_length_a 4.470
_cell_length_b 4.470
_cell_length_c 6.317
_cell_angle_alpha 90.00
_cell_angle_beta 90.00
_cell_angle_gamma 90.00
_space_group_name_H-M_alt 'P 1'
_space_group_IT_number 1
_space_group_name_Hall 'P 1'
loop_
_atom_site_label
_atom_site_type_symbol
_atom_site_fract_x
_atom_site_fract_y
_atom_site_fract_z
Li1 Li 0.000 0.500 0.249
Li2 Li 0.500 0.000 0.751
Ta1 Ta 0.000 0.000 0.500
In1 In 0.000 0.000 0.000
In2 In 0.500 0.500 0.500
Os1 Os 0.000 0.500 0.758
Os2 Os 0.500 0.000 0.242
W1 W 0.500 0.500 0.000
```

(2)
Li4InPPd2: computed XRD peak list (a wavelength of 1.5418 Å), based on a structure optimized by DFT (GGA-PBE).
Kinematic intensities with the Lorentz-polarization factor, no thermal factor.

The 10 most intense peaks (2θ = 5–70°), in order of falling intensity:
25.3°, I = 100, hkl 1 0 1
41.6°, I = 58, hkl 1 1 2
42.4°, I = 30, hkl 2 0 0
50.0°, I = 30, hkl 2 1 1
33.0°, I = 15, hkl 1 1 1
48.6°, I = 13, hkl 1 0 3
35.6°, I = 10, hkl 1 0 2
61.6°, I = 10, hkl 2 2 0
66.5°, I = 10, hkl 2 1 3
20.8°, I = 9, hkl 1 0 0

Structure:
```
data_Li4InPPd2
_chemical_formula_sum 'Li4 In1 P1 Pd2'
_cell_length_a 4.261
_cell_length_b 4.261
_cell_length_c 6.253
_cell_angle_alpha 90.00
_cell_angle_beta 90.00
_cell_angle_gamma 90.00
_space_group_name_H-M_alt 'P 1'
_space_group_IT_number 1
_space_group_name_Hall 'P 1'
loop_
_atom_site_label
_atom_site_type_symbol
_atom_site_fract_x
_atom_site_fract_y
_atom_site_fract_z
Li1 Li 0.000 0.000 0.000
Li2 Li 0.000 0.500 0.221
Li3 Li 0.500 0.000 0.779
Li4 Li 0.500 0.500 0.500
In1 In 0.000 0.000 0.500
P1 P 0.500 0.500 0.000
Pd1 Pd 0.000 0.500 0.784
Pd2 Pd 0.500 0.000 0.216
```

(3)
LiScInPt: computed XRD peak list (a wavelength of 1.5418 Å), based on a structure optimized by DFT (GGA-PBE).
Kinematic intensities with the Lorentz-polarization factor, no thermal factor.

The 7 most intense peaks (2θ = 5–70°), in order of falling intensity:
38.9°, I = 100, hkl 2 0 0
23.5°, I = 75, hkl 1 0 1
45.9°, I = 39, hkl 2 1 1
56.2°, I = 17, hkl 2 2 0
61.7°, I = 16, hkl 3 0 1
27.2°, I = 1, hkl 1 1 0
63.5°, I = 1, hkl 1 1 4

Structure:
```
data_LiScInPt
_chemical_formula_sum 'Li2 Sc2 In2 Pt2'
_cell_length_a 4.631
_cell_length_b 4.631
_cell_length_c 6.553
_cell_angle_alpha 90.00
_cell_angle_beta 90.00
_cell_angle_gamma 90.00
_space_group_name_H-M_alt 'P 1'
_space_group_IT_number 1
_space_group_name_Hall 'P 1'
loop_
_atom_site_label
_atom_site_type_symbol
_atom_site_fract_x
_atom_site_fract_y
_atom_site_fract_z
Li1 Li 0.000 0.000 0.000
Li2 Li 0.500 0.500 0.500
Sc1 Sc 0.000 0.500 0.749
Sc2 Sc 0.500 0.000 0.251
In1 In 0.000 0.500 0.248
In2 In 0.500 0.000 0.752
Pt1 Pt 0.000 0.000 0.500
Pt2 Pt 0.500 0.500 0.000
```

(4)
Li4TlInPt2: computed XRD peak list (a wavelength of 1.5418 Å), based on a structure optimized by DFT (GGA-PBE).
Kinematic intensities with the Lorentz-polarization factor, no thermal factor.

The 10 most intense peaks (2θ = 5–70°), in order of falling intensity:
24.1°, I = 100, hkl 1 0 1
39.9°, I = 91, hkl 2 0 0
47.1°, I = 34, hkl 2 1 1
63.4°, I = 21, hkl 3 0 1
47.2°, I = 17, hkl 1 0 3
57.6°, I = 10, hkl 2 2 0
57.8°, I = 5, hkl 0 0 4
31.3°, I = 3, hkl 1 1 1
19.6°, I = 2, hkl 1 0 0
34.4°, I = 2, hkl 1 0 2

Structure:
```
data_Li4TlInPt2
_chemical_formula_sum 'Li4 Tl1 In1 Pt2'
_cell_length_a 4.527
_cell_length_b 4.527
_cell_length_c 6.383
_cell_angle_alpha 90.00
_cell_angle_beta 90.00
_cell_angle_gamma 90.00
_space_group_name_H-M_alt 'P 1'
_space_group_IT_number 1
_space_group_name_Hall 'P 1'
loop_
_atom_site_label
_atom_site_type_symbol
_atom_site_fract_x
_atom_site_fract_y
_atom_site_fract_z
Li1 Li 0.000 0.000 0.000
Li2 Li 0.000 0.500 0.249
Li3 Li 0.500 0.000 0.751
Li4 Li 0.500 0.500 0.500
Tl1 Tl 0.000 0.000 0.500
In1 In 0.500 0.500 0.000
Pt1 Pt 0.000 0.500 0.760
Pt2 Pt 0.500 0.000 0.240
```